Ta2TlF11: computed powder diffractogram (λ = 1.5418 Å (Cu Kα)), based on DFT lattice parameters and positions (GGA-PBE).
Neutral-atom scattering factors, no anomalous dispersion.

Most intense lines, 2θ = 10–90°, by angle:
- 14.11°, intensity 32
- 19.71°, intensity 100
- 22.06°, intensity 71
- 24.37°, intensity 62
- 27.68°, intensity 35
- 40.10°, intensity 45

Atomic structure:
```
Ta2TlF11
1.0
-4.0975 5.2556 6.2779
4.0975 -5.2556 6.2779
4.0975 5.2556 -6.2779
Ta Tl F
4 2 22
Cartesian
0.8706 1.9205 0.0000 Ta
4.9682 3.3352 0.0000 Ta
-0.8706 1.9205 6.2779 Ta
3.2269 3.3352 6.2779 Ta
4.0975 0.0000 3.1389 Tl
0.0000 5.2556 3.1389 Tl
0.0000 0.0000 0.0000 F
6.3049 -1.0357 1.3518 F
4.9299 1.9540 -1.3228 F
1.8901 1.0357 1.3518 F
3.0397 -3.0899 6.2779 F
4.9299 -1.9540 4.9551 F
4.9299 1.9540 1.3228 F
3.0397 3.0899 0.0000 F
1.8901 -1.0357 4.9260 F
0.8323 3.3016 1.3228 F
2.2074 6.2914 -1.3518 F
0.0000 0.0000 6.2779 F
1.8901 -1.0357 7.6297 F
3.2652 1.9540 4.9551 F
2.2074 6.2914 1.3518 F
1.0578 2.1657 6.2779 F
-0.8323 3.3016 4.9551 F
-0.8323 7.2097 1.3228 F
1.0578 8.3456 0.0000 F
2.2074 4.2199 4.9260 F
-0.8323 3.3016 7.6007 F
-2.2074 6.2914 4.9260 F
```